No. 1
# Sr2AlCO3F5
Simulated powder X-ray diffraction pattern, Cu Kα. Input: a structure optimized by DFT (PBE).

Structural model:
a = 5.5198 Å, b = 8.8546 Å, c = 13.6569 Å
α = 90.00°, β = 105.29°, γ = 90.00°
Fractional positions:
Sr: 0.1921 0.1089 0.4015
Sr: 0.1921 0.3911 0.9015
Sr: 0.1951 0.6408 0.4115
Sr: 0.1951 0.8592 0.9115
Sr: 0.8049 0.1408 0.0885
Sr: 0.8049 0.3592 0.5885
Sr: 0.8079 0.6089 0.0985
Sr: 0.8079 0.8911 0.5985
Al: 0.3031 0.6280 0.6696
Al: 0.3031 0.8720 0.1696
Al: 0.6969 0.1280 0.8304
Al: 0.6969 0.3720 0.3304
C: 0.3258 0.1247 0.6386
C: 0.3258 0.3753 0.1386
C: 0.6742 0.6247 0.8614
C: 0.6742 0.8753 0.3614
O: 0.0901 0.1211 0.5876
O: 0.0901 0.3789 0.0876
O: 0.3820 0.1290 0.7367
O: 0.3820 0.3710 0.2367
O: 0.4964 0.1238 0.5888
O: 0.4964 0.3762 0.0888
O: 0.5036 0.6238 0.9112
O: 0.5036 0.8762 0.4112
O: 0.6180 0.6290 0.7633
O: 0.6180 0.8710 0.2633
O: 0.9099 0.6211 0.9124
O: 0.9099 0.8789 0.4124
F: 0.0102 0.1287 0.9300
F: 0.0102 0.3713 0.4300
F: 0.1699 0.7266 0.2339
F: 0.1699 0.7734 0.7339
F: 0.1746 0.0275 0.2263
F: 0.1746 0.4725 0.7263
F: 0.3940 0.7244 0.0913
F: 0.3940 0.7756 0.5913
F: 0.4136 0.0063 0.0888
F: 0.4136 0.4937 0.5888
F: 0.5864 0.5063 0.4112
F: 0.5864 0.9937 0.9112
F: 0.6060 0.2244 0.4087
F: 0.6060 0.2756 0.9087
F: 0.8254 0.5275 0.2737
F: 0.8254 0.9725 0.7737
F: 0.8301 0.2266 0.2661
F: 0.8301 0.2734 0.7661
F: 0.9898 0.6287 0.5700
F: 0.9898 0.8713 0.0700

Main lines, sorted by position (10 to 90 degrees two-theta):
| 2θ (°) | d [Å] | Rel. int. |
| --- | --- | --- |
| 25.9 | 3.439 | 100 |
| 27.1 | 3.293 | 21 |
| 27.8 | 3.204 | 21 |
| 28.2 | 3.169 | 19 |
| 28.6 | 3.118 | 26 |
| 39.6 | 2.278 | 17 |
| 40.2 | 2.242 | 16 |
| 41.1 | 2.196 | 22 |
| 41.7 | 2.167 | 18 |
| 46.4 | 1.957 | 22 |
| 47.9 | 1.899 | 17 |
| 50.1 | 1.821 | 15 |

***

No. 2
# Rb3TeH6Cl3O6
Simulated powder X-ray diffraction pattern, Cu Kα. Input: a structure optimized by DFT (PBE).

Structural model:
a = 9.2618 Å, b = 9.2618 Å, c = 9.2618 Å
α = 106.21°, β = 106.21°, γ = 106.21°
Fractional positions:
Rb: 0.2043 0.7500 0.2957
Rb: 0.2500 0.7043 0.7957
Rb: 0.2957 0.2043 0.7500
Rb: 0.7043 0.7957 0.2500
Rb: 0.7500 0.2957 0.2043
Rb: 0.7957 0.2500 0.7043
Te: 0.0000 0.0000 0.0000
Te: 0.5000 0.5000 0.5000
H: 0.0730 0.0973 0.2986
H: 0.0973 0.2986 0.0730
H: 0.2014 0.4027 0.4270
H: 0.2986 0.0730 0.0973
H: 0.4027 0.4270 0.2014
H: 0.4270 0.2014 0.4027
H: 0.5730 0.7986 0.5973
H: 0.5973 0.5730 0.7986
H: 0.7014 0.9270 0.9027
H: 0.7986 0.5973 0.5730
H: 0.9027 0.7014 0.9270
H: 0.9270 0.9027 0.7014
Cl: 0.0174 0.2500 0.4826
Cl: 0.2500 0.4826 0.0174
Cl: 0.4826 0.0174 0.2500
Cl: 0.5174 0.9826 0.7500
Cl: 0.7500 0.5174 0.9826
Cl: 0.9826 0.7500 0.5174
O: 0.0027 0.2202 0.0798
O: 0.0798 0.0027 0.2202
O: 0.2202 0.0798 0.0027
O: 0.2798 0.4973 0.4202
O: 0.4202 0.2798 0.4973
O: 0.4973 0.4202 0.2798
O: 0.5027 0.5798 0.7202
O: 0.5798 0.7202 0.5027
O: 0.7202 0.5027 0.5798
O: 0.7798 0.9202 0.9973
O: 0.9202 0.9973 0.7798
O: 0.9973 0.7798 0.9202

Main lines, sorted by position (10 to 90 degrees two-theta):
| 2θ (°) | d [Å] | Rel. int. |
| --- | --- | --- |
| 11.9 | 7.407 | 26 |
| 18.0 | 4.923 | 65 |
| 24.0 | 3.703 | 60 |
| 24.8 | 3.587 | 100 |
| 26.4 | 3.375 | 44 |
| 27.8 | 3.205 | 41 |
| 30.2 | 2.960 | 56 |
| 31.5 | 2.837 | 26 |
| 36.5 | 2.462 | 27 |
| 40.0 | 2.252 | 27 |
| 44.2 | 2.051 | 45 |
| 49.6 | 1.837 | 18 |